(1)
For Mg2Ta2WO8, a cell relaxed with PBE+U gives the theoretical X-ray powder pattern in this record (λ = 1.5418 Å (Cu Kα)).

Structure:
Cell: 5.2930 5.9962 10.1505 Å, 105.55 91.65 91.18°
Space group P1 (No. 1)
Unique sites:
Mg 0.0000 0.0000 0.0000
Mg 0.0158 0.5568 0.1025
Mg 0.4864 0.7097 0.9924
Mg 0.5170 0.2670 0.0922
Ta 0.0294 0.1683 0.3156
Ta 0.5294 0.8506 0.3167
Ta 0.5442 0.1192 0.7889
Ta 0.9851 0.3822 0.8020
W 0.0426 0.7722 0.5572
W 0.5313 0.4744 0.5611
O 0.1249 0.6845 0.9457
O 0.1848 0.4391 0.4345
O 0.2008 0.2258 0.9297
O 0.2083 0.9456 0.4126
O 0.3249 0.0606 0.1937
O 0.3406 0.3089 0.6995
O 0.3876 0.5930 0.1735
O 0.3943 0.8074 0.6694
O 0.6341 0.9807 0.9440
O 0.6825 0.6871 0.4328
O 0.7029 0.4317 0.9470
O 0.7061 0.1670 0.4153
O 0.8279 0.8513 0.1978
O 0.8725 0.0515 0.6899
O 0.8842 0.5565 0.6749
O 0.8903 0.2931 0.1737

Largest 10 diffraction maxima, by angle, 10 to 80 degrees two-theta:
hkl 0 1 1, 2θ 19.85, intensity 66
hkl 0 1 -2, 2θ 20.41, intensity 64
hkl -1 1 1, 2θ 25.58, intensity 68
hkl 1 1 -2, 2θ 26.40, intensity 55
hkl 1 -1 2, 2θ 26.63, intensity 100
hkl -1 1 2, 2θ 31.24, intensity 56
hkl 2 0 0, 2θ 33.90, intensity 81
hkl 1 -2 1, 2θ 34.10, intensity 68
hkl 1 2 -1, 2θ 34.70, intensity 68
hkl -1 2 3, 2θ 49.90, intensity 68

=====

(2)
For Ac3FeAg3O8, a cell relaxed with PBE+U gives the theoretical X-ray powder pattern in this record (λ = 1.5418 Å (Cu Kα)).

Structure:
Cell: 12.3207 7.6678 8.3738 Å, 90.00 130.71 90.00°
Space group C2/m (No. 12)
Unique sites:
Ac 0.0000 0.0000 0.0000
Ac 0.2500 0.2500 0.5000
Fe 0.0000 0.5000 0.0000
Ag 0.0000 0.0000 0.5000
Ag 0.2500 0.2500 0.0000
O 0.0722 0.5000 0.2846
O 0.0870 0.0000 0.3560
O 0.1501 0.2750 0.1232

Largest 10 diffraction maxima, by angle, 10 to 80 degrees two-theta:
hkl 2 0 -1, 2θ 14.47, intensity 45
hkl 1 1 0, 2θ 14.95, intensity 29
hkl 0 0 2, 2θ 28.11, intensity 50
hkl 4 0 -2, 2θ 29.17, intensity 42
hkl 2 2 0, 2θ 30.16, intensity 100
hkl 2 2 -2, 2θ 31.65, intensity 62
hkl 4 0 0, 2θ 38.55, intensity 23
hkl 4 0 -4, 2θ 43.25, intensity 20
hkl 2 2 2, 2θ 50.06, intensity 25
hkl 6 2 -2, 2θ 51.36, intensity 23